Record 1
Theoretical powder diffraction line list of RbTa2As for a wavelength of 1.5418 Å, from a PBE-relaxed structure.
Intensities are scaled so that the largest is 100.

Atomic structure:
a b c (Å): 5.0675 5.0675 18.8432
angles (deg): 90.00 90.00 90.00
Space group I4_1/amd (No. 141, origin choice 2)
Symmetry-distinct sites (fractional):
Rb (0.0000, 0.2500, 0.3750) [4 per cell]
Ta (0.0000, 0.0000, 0.0000) [8 per cell]
As (0.0000, 0.2500, 0.8750) [4 per cell]

Peak list (10 most intense, 15 to 90 degrees two-theta, in order of rising 2θ)
- 18.1°, 4.894 Å, I = 100.0, hkl 1 0 1
- 18.8°, 4.711 Å, I = 27.8, hkl 0 0 4
- 22.5°, 3.944 Å, I = 69.4, hkl 1 0 3
- 26.6°, 3.349 Å, I = 37.3, hkl 1 1 2
- 29.5°, 3.024 Å, I = 35.6, hkl 1 0 5
- 36.7°, 2.447 Å, I = 74.5, hkl 2 0 2
- 38.2°, 2.355 Å, I = 35.6, hkl 0 0 8
- 40.1°, 2.250 Å, I = 31.4, hkl 2 1 1
- 46.0°, 1.972 Å, I = 39.8, hkl 2 0 6
- 54.8°, 1.675 Å, I = 50.1, hkl 2 2 4

=====

Record 2
Theoretical powder diffraction line list of RbTcAs for a wavelength of 1.5418 Å, from a PBE-relaxed structure.
Intensities are scaled so that the largest is 100.

Atomic structure:
a b c (Å): 3.9739 3.9739 11.8606
angles (deg): 90.00 90.00 90.00
Space group P4/nmm (No. 129, origin choice 2)
Symmetry-distinct sites (fractional):
Rb (0.2500, 0.2500, 0.2042) [2 per cell]
Tc (0.2500, 0.7500, 0.5000) [2 per cell]
As (0.2500, 0.2500, 0.6313) [2 per cell]

Peak list (10 most intense, 15 to 90 degrees two-theta, in order of rising 2θ)
- 22.5°, 3.954 Å, I = 28.3, hkl 0 0 3
- 27.0°, 3.301 Å, I = 98.5, hkl 1 0 2
- 31.9°, 2.804 Å, I = 52.8, hkl 1 0 3
- 35.3°, 2.539 Å, I = 100.0, hkl 1 1 2
- 44.4°, 2.039 Å, I = 42.0, hkl 1 1 4
- 45.7°, 1.987 Å, I = 52.1, hkl 2 0 0
- 46.3°, 1.960 Å, I = 23.7, hkl 2 0 1
- 50.3°, 1.813 Å, I = 58.4, hkl 1 1 5
- 53.9°, 1.702 Å, I = 28.0, hkl 2 1 2
- 87.9°, 1.110 Å, I = 23.9, hkl 3 1 5

=====

Record 3
Theoretical powder diffraction line list of RbTl2Te4As for a wavelength of 1.5418 Å, from a PBE-relaxed structure.
Intensities are scaled so that the largest is 100.

Atomic structure:
a b c (Å): 13.0086 13.0931 9.1763
angles (deg): 90.00 134.77 90.00
Space group C2/c (No. 15)
Symmetry-distinct sites (fractional):
Rb (0.0000, 0.0000, 0.0000) [4 per cell]
Tl (0.0000, 0.5000, 0.0000) [4 per cell]
Tl (0.2500, 0.2500, 0.0000) [4 per cell]
Te (0.0004, 0.2618, 0.0340) [8 per cell]
Te (0.2218, 0.4822, 0.4723) [8 per cell]
As (0.2500, 0.2500, 0.5000) [4 per cell]

Peak list (10 most intense, 15 to 90 degrees two-theta, in order of rising 2θ)
- 27.2°, 3.273 Å, I = 50.9, hkl 0 4 0
- 27.4°, 3.255 Å, I = 100.0, hkl 0 0 2
- 35.8°, 2.507 Å, I = 11.9, hkl 3 3 -3
- 39.0°, 2.308 Å, I = 91.7, hkl 4 0 0
- 39.3°, 2.294 Å, I = 17.5, hkl 4 0 -4
- 48.2°, 1.887 Å, I = 19.2, hkl 4 4 0
- 48.5°, 1.879 Å, I = 17.9, hkl 4 4 -4
- 63.6°, 1.462 Å, I = 14.3, hkl 0 8 2
- 63.8°, 1.459 Å, I = 14.3, hkl 4 0 2
- 70.7°, 1.333 Å, I = 15.0, hkl 8 4 -2